# 1
Theoretical powder X-ray diffraction pattern
Compound: Bi2MoO6
Radiation: Cu Kα
Structure: DFT lattice parameters and positions (PBE+U)

Most intense lines, 2θ from 15° to 90°, sorted by position:
2θ 27.6, I = 100.0
2θ 31.7, I = 14.8
2θ 32.2, I = 14.5
2θ 45.6, I = 14.6
2θ 54.1, I = 15.0
2θ 54.7, I = 14.7

Atomic structure:
Cell lengths 5.607, 16.665, 5.637 Å; angles 90.00, 90.00, 90.00 degrees
Atoms (fractional coordinates):
Bi 0.026 0.076 0.000
Bi 0.026 0.576 0.479
Bi 0.474 0.076 0.500
Bi 0.474 0.576 0.979
Bi 0.526 0.424 0.479
Bi 0.526 0.924 0.000
Bi 0.974 0.424 0.979
Bi 0.974 0.924 0.500
Mo 0.005 0.749 0.952
Mo 0.495 0.749 0.452
Mo 0.505 0.251 0.952
Mo 0.995 0.251 0.452
O 0.096 0.646 0.853
O 0.103 0.147 0.372
O 0.205 0.279 0.677
O 0.238 0.499 0.198
O 0.238 0.778 0.625
O 0.239 0.998 0.720
O 0.261 0.998 0.220
O 0.262 0.499 0.698
O 0.262 0.778 0.125
O 0.295 0.279 0.177
O 0.397 0.147 0.872
O 0.404 0.646 0.353
O 0.596 0.354 0.853
O 0.603 0.853 0.372
O 0.705 0.721 0.677
O 0.738 0.222 0.625
O 0.738 0.501 0.198
O 0.739 0.002 0.720
O 0.761 0.002 0.220
O 0.762 0.222 0.125
O 0.762 0.501 0.698
O 0.795 0.721 0.177
O 0.897 0.853 0.872
O 0.904 0.354 0.353



# 2
Theoretical powder X-ray diffraction pattern
Compound: Bi14Mo5O36
Radiation: Cu Kα
Structure: DFT lattice parameters and positions (PBE+U)

Most intense lines, 2θ from 15° to 90°, sorted by position:
2θ 27.2, I = 100.0
2θ 27.4, I = 93.7
2θ 31.2, I = 53.5
2θ 44.7, I = 28.1
2θ 45.6, I = 24.6
2θ 53.2, I = 24.4

Atomic structure:
Cell lengths 17.684, 17.684, 8.740 Å; angles 99.41, 99.41, 18.67 degrees
Atoms (fractional coordinates):
Bi 0.027 0.026 0.326
Bi 0.143 0.115 0.553
Bi 0.161 0.201 0.229
Bi 0.212 0.366 0.464
Bi 0.213 0.268 0.811
Bi 0.408 0.382 0.730
Bi 0.449 0.449 0.392
Bi 0.551 0.551 0.608
Bi 0.618 0.592 0.270
Bi 0.634 0.788 0.536
Bi 0.732 0.787 0.189
Bi 0.799 0.839 0.771
Bi 0.885 0.857 0.447
Bi 0.974 0.973 0.674
Mo 0.092 0.067 0.940
Mo 0.290 0.385 0.096
Mo 0.510 0.490 0.000
Mo 0.615 0.710 0.904
Mo 0.933 0.908 0.060
O 0.009 0.525 0.655
O 0.023 0.584 0.027
O 0.091 0.672 0.980
O 0.104 0.591 0.613
O 0.123 0.793 0.192
O 0.171 0.677 0.558
O 0.207 0.877 0.808
O 0.245 0.500 0.267
O 0.273 0.119 0.630
O 0.274 0.726 0.500
O 0.295 0.628 0.896
O 0.323 0.829 0.442
O 0.328 0.909 0.020
O 0.372 0.705 0.104
O 0.409 0.896 0.387
O 0.416 0.977 0.973
O 0.445 0.165 0.183
O 0.471 0.220 0.928
O 0.475 0.991 0.345
O 0.500 0.755 0.733
O 0.528 0.005 0.694
O 0.615 0.083 0.616
O 0.661 0.190 0.567
O 0.671 0.297 0.150
O 0.703 0.329 0.850
O 0.720 0.080 0.183
O 0.771 0.229 0.500
O 0.780 0.529 0.072
O 0.789 0.074 0.891
O 0.810 0.339 0.433
O 0.835 0.555 0.817
O 0.881 0.727 0.370
O 0.917 0.385 0.384
O 0.920 0.280 0.817
O 0.926 0.211 0.109
O 0.995 0.472 0.306



# 3
Theoretical powder X-ray diffraction pattern
Compound: Bi14MoO24
Radiation: Cu Kα
Structure: DFT lattice parameters and positions (PBE+U)

Most intense lines, 2θ from 15° to 90°, sorted by position:
2θ 27.1, I = 33.8
2θ 27.3, I = 100.0
2θ 31.0, I = 21.3
2θ 31.9, I = 34.1
2θ 45.2, I = 18.7
2θ 54.1, I = 12.3

Atomic structure:
Cell lengths 8.873, 8.891, 10.666 Å; angles 65.51, 65.51, 89.71 degrees
Atoms (fractional coordinates):
Bi 0.000 0.000 0.000
Bi 0.021 0.495 0.663
Bi 0.117 0.940 0.350
Bi 0.196 0.417 0.997
Bi 0.251 0.834 0.662
Bi 0.335 0.338 0.327
Bi 0.413 0.812 0.005
Bi 0.529 0.752 0.322
Bi 0.600 0.222 0.000
Bi 0.676 0.721 0.670
Bi 0.749 0.149 0.323
Bi 0.812 0.622 0.986
Bi 0.906 0.063 0.670
Bi 0.941 0.563 0.320
Mo 0.482 0.307 0.642
O 0.011 0.877 0.826
O 0.072 0.579 0.820
O 0.086 0.400 0.428
O 0.139 0.781 0.169
O 0.167 0.038 0.508
O 0.227 0.734 0.506
O 0.267 0.213 0.715
O 0.292 0.276 0.169
O 0.355 0.661 0.902
O 0.469 0.950 0.162
O 0.471 0.609 0.164
O 0.487 0.478 0.691
O 0.582 0.390 0.435
O 0.585 0.903 0.425
O 0.593 0.154 0.721
O 0.642 0.281 0.158
O 0.708 0.820 0.830
O 0.765 0.517 0.822
O 0.798 0.778 0.154
O 0.849 0.162 0.901
O 0.865 0.984 0.508
O 0.921 0.678 0.507
O 0.968 0.099 0.173
O 0.976 0.464 0.150



# 4
Theoretical powder X-ray diffraction pattern
Compound: Bi2MoO6
Radiation: Cu Kα
Structure: DFT lattice parameters and positions (PBE+U)

Most intense lines, 2θ from 15° to 90°, sorted by position:
2θ 28.0, I = 100.0
2θ 31.8, I = 16.7
2θ 32.8, I = 29.5
2θ 46.4, I = 25.6
2θ 54.3, I = 17.2
2θ 55.7, I = 29.0

Atomic structure:
Cell lengths 8.877, 8.877, 5.460 Å; angles 90.00, 90.00, 144.26 degrees
Atoms (fractional coordinates):
Bi 0.173 0.827 0.976
Bi 0.327 0.673 0.476
Bi 0.673 0.327 0.524
Bi 0.827 0.173 0.024
Mo 0.000 0.000 0.500
Mo 0.500 0.500 0.000
O 0.001 0.499 0.750
O 0.109 0.891 0.584
O 0.229 0.271 0.750
O 0.271 0.229 0.250
O 0.391 0.609 0.084
O 0.499 0.001 0.250
O 0.501 0.999 0.750
O 0.609 0.391 0.916
O 0.729 0.771 0.750
O 0.771 0.729 0.250
O 0.891 0.109 0.416
O 0.999 0.501 0.250



# 5
Theoretical powder X-ray diffraction pattern
Compound: BiMo2O10
Radiation: Cu Kα
Structure: DFT lattice parameters and positions (PBE+U)

Most intense lines, 2θ from 15° to 90°, sorted by position:
2θ 15.0, I = 26.6
2θ 17.0, I = 100.0
2θ 27.6, I = 64.0
2θ 28.0, I = 40.3
2θ 28.2, I = 39.7
2θ 28.4, I = 32.4

Atomic structure:
Cell lengths 6.016, 11.804, 6.312 Å; angles 90.00, 115.59, 90.00 degrees
Atoms (fractional coordinates):
Bi 0.225 0.250 0.147
Bi 0.775 0.750 0.853
Mo 0.410 0.597 0.302
Mo 0.410 0.903 0.302
Mo 0.590 0.097 0.698
Mo 0.590 0.403 0.698
O 0.004 0.155 0.334
O 0.004 0.345 0.334
O 0.073 0.750 0.593
O 0.092 0.624 0.141
O 0.092 0.876 0.141
O 0.421 0.066 0.336
O 0.421 0.434 0.336
O 0.450 0.120 0.882
O 0.450 0.380 0.882
O 0.491 0.750 0.455
O 0.509 0.250 0.545
O 0.550 0.620 0.118
O 0.550 0.880 0.118
O 0.579 0.566 0.664
O 0.579 0.934 0.664
O 0.908 0.124 0.859
O 0.908 0.376 0.859
O 0.927 0.250 0.407
O 0.996 0.655 0.666
O 0.996 0.845 0.666



# 6
Theoretical powder X-ray diffraction pattern
Compound: Bi10Mo3O24
Radiation: Cu Kα
Structure: DFT lattice parameters and positions (PBE+U)

Most intense lines, 2θ from 15° to 90°, sorted by position:
2θ 27.1, I = 100.0
2θ 30.8, I = 14.5
2θ 31.2, I = 13.3
2θ 32.1, I = 13.1
2θ 44.4, I = 14.0
2θ 45.3, I = 12.2

Atomic structure:
Cell lengths 12.292, 12.292, 8.854 Å; angles 95.27, 95.27, 26.99 degrees
Atoms (fractional coordinates):
Bi 0.038 0.038 0.325
Bi 0.279 0.109 0.548
Bi 0.296 0.229 0.189
Bi 0.373 0.329 0.750
Bi 0.423 0.426 0.411
Bi 0.574 0.577 0.589
Bi 0.671 0.627 0.250
Bi 0.771 0.704 0.811
Bi 0.891 0.721 0.452
Bi 0.962 0.962 0.675
Mo 0.178 0.073 0.929
Mo 0.488 0.512 0.000
Mo 0.927 0.822 0.071
O 0.039 0.512 0.649
O 0.046 0.299 0.828
O 0.059 0.797 0.221
O 0.115 0.539 0.004
O 0.138 0.644 0.579
O 0.203 0.941 0.779
O 0.249 0.632 0.932
O 0.255 0.399 0.353
O 0.267 0.733 0.500
O 0.356 0.862 0.421
O 0.368 0.751 0.068
O 0.461 0.885 0.996
O 0.488 0.961 0.351
O 0.520 0.030 0.689
O 0.601 0.745 0.647
O 0.632 0.158 0.592
O 0.646 0.323 0.159
O 0.677 0.354 0.841
O 0.701 0.954 0.172
O 0.757 0.024 0.916
O 0.786 0.214 0.500
O 0.842 0.368 0.408
O 0.970 0.480 0.311
O 0.976 0.243 0.084



# 7
Theoretical powder X-ray diffraction pattern
Compound: BiMo2PbO8
Radiation: Cu Kα
Structure: DFT lattice parameters and positions (PBE+U)

Most intense lines, 2θ from 15° to 90°, sorted by position:
2θ 24.2, I = 100.0
2θ 32.9, I = 46.5
2θ 36.0, I = 35.1
2θ 41.3, I = 24.1
2θ 53.8, I = 22.8
2θ 58.1, I = 19.7

Atomic structure:
Cell lengths 8.437, 8.437, 8.437 Å; angles 37.62, 37.62, 37.62 degrees
Atoms (fractional coordinates):
Bi 0.000 0.000 0.000
Mo 0.245 0.245 0.245
Mo 0.755 0.755 0.755
Pb 0.500 0.500 0.500
O 0.052 0.413 0.726
O 0.170 0.170 0.170
O 0.274 0.587 0.948
O 0.413 0.726 0.052
O 0.587 0.948 0.274
O 0.726 0.052 0.413
O 0.830 0.830 0.830
O 0.948 0.274 0.587



# 8
Theoretical powder X-ray diffraction pattern
Compound: PmBi2MoO8
Radiation: Cu Kα
Structure: DFT lattice parameters and positions (PBE+U)

Most intense lines, 2θ from 15° to 90°, sorted by position:
2θ 24.2, I = 56.2
2θ 24.5, I = 56.9
2θ 31.2, I = 100.0
2θ 34.7, I = 31.4
2θ 47.2, I = 38.4
2θ 47.5, I = 40.2

Atomic structure:
Cell lengths 5.169, 6.890, 5.178 Å; angles 90.00, 90.62, 90.00 degrees
Atoms (fractional coordinates):
Pm 0.000 0.000 0.000
Bi 0.500 0.256 0.500
Bi 0.500 0.744 0.500
Mo 0.000 0.500 0.000
O 0.182 0.288 0.180
O 0.182 0.712 0.180
O 0.264 0.500 0.734
O 0.315 0.000 0.684
O 0.685 0.000 0.316
O 0.736 0.500 0.266
O 0.818 0.288 0.820
O 0.818 0.712 0.820